# 1
Theoretical powder diffraction line list
Compound: Sr3HgPb3
Radiation: CuKα
Structure: DFT lattice parameters and positions (PBE)
No peak broadening, texture or thermal motion is included.

Cell and atoms:
```
14
Lattice="6.1097 -2.5727 0.0000 6.1097 2.5727 0.0000 -5.5516 0.0000 15.4779" Properties=species:S:1:pos:R:3 pbc="T T T"
Sr -1.6212 0.0000 5.8966
Sr -3.9362 0.0000 14.2689
Sr 1.6592 0.0000 3.5170
Sr 5.0086 0.0000 11.9610
Sr 10.6039 0.0000 1.2090
Sr 8.2889 0.0000 9.5813
Hg -0.4982 0.0000 9.6810
Hg 7.1660 0.0000 5.7969
Pb 1.8089 0.0000 7.2390
Pb -0.4894 0.0000 14.3153
Pb 1.5392 0.0000 11.9262
Pb 5.1286 0.0000 3.5517
Pb 7.1571 0.0000 1.1626
Pb 4.8588 0.0000 8.2389
```

The 12 most intense peaks (5 to 70 degrees two-theta), by angle:
- 5.7°, 15.478 Å, I 31
- 14.5°, 6.106 Å, I 30
- 18.9°, 4.698 Å, I 46
- 27.4°, 3.257 Å, I 46
- 27.8°, 3.212 Å, I 80
- 29.3°, 3.053 Å, I 40
- 34.2°, 2.624 Å, I 100
- 34.7°, 2.585 Å, I 33
- 34.9°, 2.573 Å, I 58
- 35.1°, 2.554 Å, I 41
- 42.2°, 2.141 Å, I 25
- 46.1°, 1.967 Å, I 23



# 2
Theoretical powder diffraction line list
Compound: TiF4
Radiation: CuKα
Structure: DFT lattice parameters and positions (PBE)
No peak broadening, texture or thermal motion is included.

Cell and atoms:
```
60
Lattice="23.6525 0.0000 0.0000 0.0000 3.9094 0.0000 0.0000 0.0000 9.8409" Properties=species:S:1:pos:R:3 pbc="T T T"
Ti 1.8056 0.9774 1.5012
Ti 2.3406 0.9774 5.3989
Ti 5.4720 0.9774 3.0095
Ti 6.3542 2.9321 7.9300
Ti 9.4856 2.9321 0.4784
Ti 10.0206 2.9321 6.4217
Ti 13.6319 0.9774 3.4192
Ti 14.1669 0.9774 9.3625
Ti 17.2983 0.9774 1.9109
Ti 18.1805 2.9321 6.8314
Ti 21.3119 2.9321 4.4420
Ti 21.8469 2.9321 8.3397
F 0.0452 0.9774 1.3808
F 0.6762 0.9774 5.9820
F 1.7100 0.9774 3.5020
F 1.9091 2.9321 1.6414
F 2.2110 0.9774 9.6298
F 2.4012 2.9321 5.2381
F 3.1888 0.9774 6.9419
F 3.7725 0.9774 1.9225
F 4.1308 0.9774 4.4720
F 5.0195 2.9321 9.0787
F 5.3063 2.9321 3.0264
F 5.4563 2.9321 6.4070
F 6.3699 0.9774 1.4866
F 6.5200 0.9774 7.9469
F 6.8067 0.9774 4.1582
F 7.6954 2.9321 9.3924
F 8.0538 2.9321 6.8429
F 8.6375 2.9321 2.0214
F 9.4251 0.9774 0.3177
F 9.6153 2.9321 4.7094
F 9.9172 0.9774 6.5619
F 10.1163 2.9321 8.4225
F 11.1501 2.9321 1.0616
F 11.7811 2.9321 6.3012
F 11.8714 0.9774 3.5397
F 12.5024 0.9774 8.7793
F 13.5362 0.9774 1.4184
F 13.7353 2.9321 3.2790
F 14.0372 0.9774 5.1315
F 14.2274 2.9321 9.5232
F 15.0150 0.9774 7.8195
F 15.5987 0.9774 2.9980
F 15.9571 0.9774 0.4485
F 16.8458 2.9321 5.6827
F 17.1325 2.9321 1.8940
F 17.2826 2.9321 8.3543
F 18.1961 0.9774 3.4339
F 18.3462 0.9774 6.8145
F 18.6330 0.9774 0.7622
F 19.5217 2.9321 5.3689
F 19.8800 2.9321 7.9184
F 20.4637 2.9321 2.8990
F 21.2513 0.9774 4.6028
F 21.4415 2.9321 0.2111
F 21.7434 0.9774 8.1995
F 21.9425 2.9321 6.3389
F 22.9763 2.9321 3.8589
F 23.6073 2.9321 8.4601
```

The 12 most intense peaks (5 to 70 degrees two-theta), by angle:
- 9.7°, 9.086 Å, I 26
- 11.7°, 7.564 Å, I 54
- 14.4°, 6.153 Å, I 20
- 19.5°, 4.543 Å, I 21
- 21.3°, 4.174 Å, I 100
- 22.6°, 3.942 Å, I 59
- 23.5°, 3.782 Å, I 25
- 24.0°, 3.712 Å, I 84
- 24.5°, 3.633 Å, I 31
- 29.4°, 3.035 Å, I 24
- 46.5°, 1.955 Å, I 47
- 51.6°, 1.771 Å, I 21



# 3
Theoretical powder diffraction line list
Compound: CaPm6Sm3Ho2
Radiation: CuKα
Structure: DFT lattice parameters and positions (PBE)
No peak broadening, texture or thermal motion is included.

Cell and atoms:
```
12
Lattice="3.1602 -5.4742 0.0000 3.1602 5.4742 0.0000 -2.0936 0.0000 11.7947" Properties=species:S:1:pos:R:3 pbc="T T T"
Ca 0.0000 0.0000 0.0000
Pm 1.0816 1.8659 2.9500
Pm 0.0561 0.0000 8.8380
Pm 1.0816 -1.8659 2.9500
Pm 3.1452 1.8659 8.8447
Pm 4.1708 0.0000 2.9566
Pm 3.1452 -1.8659 8.8447
Sm 2.1134 3.6533 5.8973
Sm 2.1134 0.0000 5.8973
Sm 2.1134 -3.6533 5.8973
Ho 3.1602 1.8251 0.0000
Ho 3.1602 -1.8251 0.0000
```

The 12 most intense peaks (5 to 70 degrees two-theta), by angle:
- 7.5°, 11.795 Å, I 2
- 16.4°, 5.410 Å, I 2
- 30.0°, 2.976 Å, I 100
- 30.3°, 2.949 Å, I 32
- 34.9°, 2.571 Å, I 67
- 50.0°, 1.825 Å, I 24
- 50.4°, 1.812 Å, I 24
- 59.4°, 1.556 Å, I 14
- 59.6°, 1.552 Å, I 28
- 59.9°, 1.544 Å, I 14
- 62.4°, 1.488 Å, I 12
- 63.1°, 1.474 Å, I 4